The following is a computed powder diffractogram of ScAgH8Ir2. It was derived from a cell relaxed with GGA-PBE, using copper Kα.

Structure:
Cell: 8.561 4.129 5.951 Å, 90.00 109.23 90.00°
Space group C2/m (No. 12)
One atom of each set of equivalent atoms:
Sc  0.000  0.000  0.000 (multiplicity 2)
Ag  0.000  0.500  0.500 (multiplicity 2)
H  0.084  0.500  0.121 (multiplicity 4)
H  0.174  0.256  0.843 (multiplicity 8)
H  0.216  0.000  0.376 (multiplicity 4)
Ir  0.228  0.000  0.674 (multiplicity 4)

Most intense lines, 2θ = 10–90°, most intense first:
hkl	d [Å]	2theta	I_rel
1 1 1	2.885	31.00	100
3 1 -1	2.328	38.68	73
0 0 1	5.619	15.77	65
2 0 -2	2.775	32.26	43
1 1 2	2.087	43.36	30
1 1 -1	3.312	26.92	26
4 0 0	2.020	44.88	26
0 2 0	2.064	43.86	26
2 0 0	4.042	21.99	24
2 2 -2	1.656	55.48	19